This entry pairs a crystal structure of Er2MgCd with its calculated X-ray diffraction stick pattern. Radiation: λ = 1.5418 Å (Cu Kα). Structure: a crystal structure in the Materials Project, relaxed with GGA-PBE.
Neutral-atom scattering factors, no anomalous dispersion.

Lattice parameters (Å, degrees): 7.478 7.478 7.478 90.00 90.00 90.00
Space group Fm-3m (No. 225)
Asymmetric unit:
1 Er 0.250 0.250 0.250
2 Mg 0.000 0.000 0.000
3 Cd 0.000 0.000 0.500

Largest 10 diffraction maxima, by intensity, 2θ from 15° to 90°:
- 2θ = 33.90°, I 100
- 2θ = 60.67°, I 37
- 2θ = 23.80°, I 20
- 2θ = 48.70°, I 18
- 2θ = 81.38°, I 16
- 2θ = 71.34°, I 11
- 2θ = 54.91°, I 9
- 2θ = 20.57°, I 8
- 2θ = 41.84°, I 6
- 2θ = 39.99°, I 5



This entry pairs a crystal structure of CdHClO with its calculated X-ray diffraction stick pattern. Radiation: λ = 1.5418 Å (Cu Kα). Structure: a crystal structure in the Materials Project, relaxed with GGA-PBE.
Neutral-atom scattering factors, no anomalous dispersion.

Lattice parameters (Å, degrees): 3.7349 3.7349 10.4195 90.00 90.00 120.00
Space group P6_3mc (No. 186)
Asymmetric unit:
1 Cd 0.3333 0.6667 0.0000
2 H 0.0000 0.0000 0.3262
3 Cl 0.3333 0.6667 0.6635
4 O 0.0000 0.0000 0.4210

Largest 10 diffraction maxima, by intensity, 2θ from 15° to 90°:
- 2θ = 38.01°, I 100
- 2θ = 28.90°, I 95
- 2θ = 17.02°, I 86
- 2θ = 48.76°, I 38
- 2θ = 52.02°, I 27
- 2θ = 32.58°, I 24
- 2θ = 27.58°, I 23
- 2θ = 63.45°, I 20
- 2θ = 52.22°, I 19
- 2θ = 83.90°, I 18



> What is the formula in the second record?

CdHClO



> What is the formula in the first record?

Er2MgCd